For Pa2Be16Re, the PBE geometry in Alexandria gives the simulated powder diffractogram in this record (Cu Ka).
Peak positions follow from Bragg's law for the DFT cell and can differ from measured ones.

Structural model:
```
data_Pa2Be16Re
_cell_length_a 7.9414
_cell_length_b 7.9414
_cell_length_c 11.2955
_cell_angle_alpha 90.00
_cell_angle_beta 90.00
_cell_angle_gamma 120.00
_space_group_name_H-M_alt 'R 3 m'
_space_group_IT_number 160
_space_group_name_Hall 'R 3 -2"'
loop_
_atom_site_label
_atom_site_fract_x
_atom_site_fract_y
_atom_site_fract_z
Pa1 0.0000 0.0000 0.0000
Pa2 0.0000 0.0000 0.3144
Be1 0.0000 0.0000 0.7528
Be2 0.0003 0.5001 0.8108
Be3 0.0009 0.2752 0.6485
Be4 0.0056 0.5028 0.4931
Be5 0.1697 0.3394 0.4850
Re1 0.0000 0.0000 0.5431
```

Peak list (10 most intense, 15° ≤ 2θ ≤ 90°, by angle)
2θ = 15.08°, d 5.874, I = 15; 2θ = 20.35°, d 4.365, I = 18; 2θ = 22.39°, d 3.971, I = 100; 2θ = 32.78°, d 2.732, I = 30; 2θ = 34.33°, d 2.612, I = 22; 2θ = 39.30°, d 2.292, I = 28; 2θ = 41.37°, d 2.182, I = 15; 2θ = 45.70°, d 1.985, I = 20; 2θ = 46.37°, d 1.958, I = 14; 2θ = 47.54°, d 1.913, I = 19



For PaBe17Re, the PBE geometry in Alexandria gives the simulated powder diffractogram in this record (Cu Ka).
Peak positions follow from Bragg's law for the DFT cell and can differ from measured ones.

Structural model:
```
data_PaBe17Re
_cell_length_a 7.5288
_cell_length_b 7.5288
_cell_length_c 10.9057
_cell_angle_alpha 90.00
_cell_angle_beta 90.00
_cell_angle_gamma 120.00
_space_group_name_H-M_alt 'R 3 m'
_space_group_IT_number 160
_space_group_name_Hall 'R 3 -2"'
loop_
_atom_site_label
_atom_site_fract_x
_atom_site_fract_y
_atom_site_fract_z
Pa1 0.0000 0.0000 0.0000
Be1 0.0000 0.0000 0.5560
Be2 0.0000 0.0000 0.7500
Be3 0.0466 0.3714 0.3259
Be4 0.1680 0.3360 0.4930
Be5 0.1706 0.3412 0.8372
Be6 0.1714 0.3428 0.1478
Re1 0.0000 0.0000 0.3265
```

Peak list (10 most intense, 15° ≤ 2θ ≤ 90°, by angle)
2θ = 15.84°, d 5.596, I = 65; 2θ = 21.24°, d 4.183, I = 29; 2θ = 23.63°, d 3.764, I = 100; 2θ = 24.49°, d 3.635, I = 31; 2θ = 28.58°, d 3.123, I = 19; 2θ = 34.29°, d 2.615, I = 89; 2θ = 41.55°, d 2.173, I = 30; 2θ = 48.36°, d 1.882, I = 22; 2θ = 48.82°, d 1.865, I = 41; 2θ = 71.16°, d 1.325, I = 23



For PaBeRh3, the PBE geometry in Alexandria gives the simulated powder diffractogram in this record (Cu Ka).
Peak positions follow from Bragg's law for the DFT cell and can differ from measured ones.

Structural model:
```
data_PaBeRh3
_cell_length_a 5.466
_cell_length_b 5.466
_cell_length_c 10.460
_cell_angle_alpha 90.00
_cell_angle_beta 90.00
_cell_angle_gamma 90.00
_space_group_name_H-M_alt 'I 4/m'
_space_group_IT_number 87
_space_group_name_Hall '-I 4'
loop_
_atom_site_label
_atom_site_fract_x
_atom_site_fract_y
_atom_site_fract_z
Pa1 0.000 0.500 0.250
Be1 0.000 0.000 0.108
Rh1 0.000 0.000 0.320
Rh2 0.179 0.320 0.000
```

Peak list (10 most intense, 15° ≤ 2θ ≤ 90°, by angle)
2θ = 23.01°, d 3.865, I = 21; 2θ = 34.29°, d 2.615, I = 29; 2θ = 37.12°, d 2.422, I = 100; 2θ = 37.79°, d 2.380, I = 25; 2θ = 41.70°, d 2.166, I = 34; 2θ = 45.31°, d 2.002, I = 20; 2θ = 47.02°, d 1.933, I = 25; 2θ = 56.03°, d 1.641, I = 21; 2θ = 58.04°, d 1.589, I = 21; 2θ = 77.81°, d 1.227, I = 22



For Pa2BeRu5, the PBE geometry in Alexandria gives the simulated powder diffractogram in this record (Cu Ka).
Peak positions follow from Bragg's law for the DFT cell and can differ from measured ones.

Structural model:
```
data_Pa2BeRu5
_cell_length_a 5.781
_cell_length_b 5.781
_cell_length_c 7.919
_cell_angle_alpha 90.00
_cell_angle_beta 90.00
_cell_angle_gamma 90.00
_space_group_name_H-M_alt 'I 4 m m'
_space_group_IT_number 107
_space_group_name_Hall 'I 4 -2'
loop_
_atom_site_label
_atom_site_fract_x
_atom_site_fract_y
_atom_site_fract_z
Pa1 0.000 0.500 0.000
Be1 0.000 0.000 0.354
Ru1 0.000 0.000 0.014
Ru2 0.240 0.240 0.751
```

Peak list (10 most intense, 15° ≤ 2θ ≤ 90°, by angle)
2θ = 21.74°, d 4.088, I = 26; 2θ = 31.45°, d 2.844, I = 23; 2θ = 38.56°, d 2.335, I = 100; 2θ = 44.32°, d 2.044, I = 34; 2θ = 45.83°, d 1.980, I = 15; 2θ = 64.47°, d 1.445, I = 11; 2θ = 65.66°, d 1.422, I = 20; 2θ = 77.71°, d 1.229, I = 25; 2θ = 79.90°, d 1.201, I = 12; 2θ = 82.66°, d 1.167, I = 11



For Pa2BeRu3, the PBE geometry in Alexandria gives the simulated powder diffractogram in this record (Cu Ka).
Peak positions follow from Bragg's law for the DFT cell and can differ from measured ones.

Structural model:
```
data_Pa2BeRu3
_cell_length_a 5.6252
_cell_length_b 5.6252
_cell_length_c 10.9886
_cell_angle_alpha 90.00
_cell_angle_beta 90.00
_cell_angle_gamma 120.00
_space_group_name_H-M_alt 'R -3 m'
_space_group_IT_number 166
_space_group_name_Hall '-R 3 2"'
loop_
_atom_site_label
_atom_site_fract_x
_atom_site_fract_y
_atom_site_fract_z
Pa1 0.0000 0.0000 0.1331
Be1 0.0000 0.0000 0.5000
Ru1 0.0000 0.5000 0.0000
```

Peak list (10 most intense, 15° ≤ 2θ ≤ 90°, by angle)
2θ = 19.94°, d 4.454, I = 40; 2θ = 31.82°, d 2.813, I = 46; 2θ = 37.59°, d 2.393, I = 68; 2θ = 37.83°, d 2.378, I = 85; 2θ = 40.44°, d 2.230, I = 100; 2θ = 60.53°, d 1.529, I = 35; 2θ = 62.57°, d 1.485, I = 24; 2θ = 66.49°, d 1.406, I = 26; 2θ = 71.50°, d 1.320, I = 18; 2θ = 78.97°, d 1.212, I = 16



For Pa3Be2Ru7, the PBE geometry in Alexandria gives the simulated powder diffractogram in this record (Cu Ka).
Peak positions follow from Bragg's law for the DFT cell and can differ from measured ones.

Structural model:
```
data_Pa3Be2Ru7
_cell_length_a 4.237
_cell_length_b 21.591
_cell_length_c 4.207
_cell_angle_alpha 90.00
_cell_angle_beta 90.00
_cell_angle_gamma 90.00
_space_group_name_H-M_alt 'C m m m'
_space_group_IT_number 65
_space_group_name_Hall '-C 2 2'
loop_
_atom_site_label
_atom_site_fract_x
_atom_site_fract_y
_atom_site_fract_z
Pa1 0.000 0.000 0.000
Pa2 0.000 0.186 0.000
Be1 0.000 0.397 0.500
Ru1 0.000 0.096 0.500
Ru2 0.000 0.296 0.500
Ru3 0.000 0.404 0.000
Ru4 0.000 0.500 0.500
```

Peak list (10 most intense, 15° ≤ 2θ ≤ 90°, by angle)
2θ = 36.59°, d 2.456, I = 100; 2θ = 41.84°, d 2.159, I = 14; 2θ = 42.68°, d 2.118, I = 18; 2θ = 43.00°, d 2.104, I = 18; 2θ = 61.31°, d 1.512, I = 9; 2θ = 61.55°, d 1.507, I = 9; 2θ = 62.19°, d 1.493, I = 12; 2θ = 74.15°, d 1.279, I = 13; 2θ = 74.60°, d 1.272, I = 13; 2θ = 77.79°, d 1.228, I = 10



For ScPaBe4, the PBE geometry in Alexandria gives the simulated powder diffractogram in this record (Cu Ka).
Peak positions follow from Bragg's law for the DFT cell and can differ from measured ones.

Structural model:
```
data_ScPaBe4
_cell_length_a 6.898
_cell_length_b 6.898
_cell_length_c 6.898
_cell_angle_alpha 90.00
_cell_angle_beta 90.00
_cell_angle_gamma 90.00
_space_group_name_H-M_alt 'F -4 3 m'
_space_group_IT_number 216
_space_group_name_Hall 'F -4 2 3'
loop_
_atom_site_label
_atom_site_fract_x
_atom_site_fract_y
_atom_site_fract_z
Sc1 0.000 0.000 0.000
Pa1 0.250 0.250 0.750
Be1 0.126 0.126 0.374
```

Peak list (10 most intense, 15° ≤ 2θ ≤ 90°, by angle)
2θ = 22.32°, d 3.983, I = 100; 2θ = 25.83°, d 3.449, I = 36; 2θ = 36.85°, d 2.439, I = 65; 2θ = 43.51°, d 2.080, I = 65; 2θ = 45.55°, d 1.991, I = 11; 2θ = 58.30°, d 1.583, I = 24; 2θ = 59.97°, d 1.542, I = 15; 2θ = 66.39°, d 1.408, I = 24; 2θ = 71.00°, d 1.328, I = 21; 2θ = 82.78°, d 1.166, I = 18



For TbPaBe, the PBE geometry in Alexandria gives the simulated powder diffractogram in this record (Cu Ka).
Peak positions follow from Bragg's law for the DFT cell and can differ from measured ones.

Structural model:
```
data_TbPaBe
_cell_length_a 5.668
_cell_length_b 9.301
_cell_length_c 19.678
_cell_angle_alpha 90.00
_cell_angle_beta 90.00
_cell_angle_gamma 90.00
_space_group_name_H-M_alt 'F d d d'
_space_group_IT_number 70
loop_
_space_group_symop_operation_xyz
'x,y,z'
'-x,-y,-z'
'-x+1/4,-y+1/4,z'
'x+1/4,y+1/4,-z'
'x,-y+1/4,-z+1/4'
'-x,y+1/4,z+1/4'
'-x+1/4,y,-z+1/4'
'x+1/4,-y,z+1/4'
'x,y+1/2,z+1/2'
'-x,-y+1/2,-z+1/2'
'-x+1/4,-y+3/4,z+1/2'
'x+1/4,y+3/4,-z+1/2'
'x,-y+3/4,-z+3/4'
'-x,y+3/4,z+3/4'
'-x+1/4,y+1/2,-z+3/4'
'x+1/4,-y+1/2,z+3/4'
'x+1/2,y,z+1/2'
'-x+1/2,-y,-z+1/2'
'-x+3/4,-y+1/4,z+1/2'
'x+3/4,y+1/4,-z+1/2'
'x+1/2,-y+1/4,-z+3/4'
'-x+1/2,y+1/4,z+3/4'
'-x+3/4,y,-z+3/4'
'x+3/4,-y,z+3/4'
'x+1/2,y+1/2,z'
'-x+1/2,-y+1/2,-z'
'-x+3/4,-y+3/4,z'
'x+3/4,y+3/4,-z'
'x+1/2,-y+3/4,-z+1/4'
'-x+1/2,y+3/4,z+1/4'
'-x+3/4,y+1/2,-z+1/4'
'x+3/4,-y+1/2,z+1/4'
loop_
_atom_site_label
_atom_site_fract_x
_atom_site_fract_y
_atom_site_fract_z
Tb1 0.125 0.299 0.125
Pa1 0.125 0.125 0.541
Be1 0.125 0.125 0.001
```

Peak list (10 most intense, 15° ≤ 2θ ≤ 90°, by angle)
2θ = 18.88°, d 4.700, I = 44; 2θ = 29.25°, d 3.054, I = 82; 2θ = 32.89°, d 2.723, I = 62; 2θ = 33.25°, d 2.695, I = 100; 2θ = 33.43°, d 2.680, I = 82; 2θ = 36.98°, d 2.431, I = 45; 2θ = 41.59°, d 2.172, I = 42; 2θ = 57.29°, d 1.608, I = 22; 2θ = 58.55°, d 1.576, I = 26; 2θ = 62.07°, d 1.495, I = 32



For Pa2Be16Tc, the PBE geometry in Alexandria gives the simulated powder diffractogram in this record (Cu Ka).
Peak positions follow from Bragg's law for the DFT cell and can differ from measured ones.

Structural model:
```
data_Pa2Be16Tc
_cell_length_a 7.9468
_cell_length_b 7.9468
_cell_length_c 11.2298
_cell_angle_alpha 90.00
_cell_angle_beta 90.00
_cell_angle_gamma 120.00
_space_group_name_H-M_alt 'R 3 m'
_space_group_IT_number 160
_space_group_name_Hall 'R 3 -2"'
loop_
_atom_site_label
_atom_site_fract_x
_atom_site_fract_y
_atom_site_fract_z
Pa1 0.0000 0.0000 0.0000
Pa2 0.0000 0.0000 0.3230
Be1 0.0000 0.0000 0.7503
Be2 0.0012 0.2752 0.6503
Be3 0.0033 0.5017 0.4946
Be4 0.0057 0.5029 0.8145
Be5 0.1716 0.3433 0.4870
Tc1 0.0000 0.0000 0.5393
```

Peak list (10 most intense, 15° ≤ 2θ ≤ 90°, by angle)
2θ = 15.10°, d 5.868, I = 23; 2θ = 20.41°, d 4.351, I = 20; 2θ = 22.37°, d 3.973, I = 100; 2θ = 23.77°, d 3.743, I = 14; 2θ = 32.87°, d 2.725, I = 43; 2θ = 34.50°, d 2.599, I = 17; 2θ = 39.27°, d 2.294, I = 28; 2θ = 45.66°, d 1.987, I = 21; 2θ = 46.42°, d 1.956, I = 20; 2θ = 47.66°, d 1.908, I = 15



For PaTi2Be9, the PBE geometry in Alexandria gives the simulated powder diffractogram in this record (Cu Ka).
Peak positions follow from Bragg's law for the DFT cell and can differ from measured ones.

Structural model:
```
data_PaTi2Be9
_cell_length_a 7.600
_cell_length_b 7.600
_cell_length_c 4.666
_cell_angle_alpha 90.00
_cell_angle_beta 90.00
_cell_angle_gamma 90.00
_space_group_name_H-M_alt 'P 4/m b m'
_space_group_IT_number 127
_space_group_name_Hall '-P 4 2ab'
loop_
_atom_site_label
_atom_site_fract_x
_atom_site_fract_y
_atom_site_fract_z
Pa1 0.000 0.000 0.000
Ti1 0.127 0.373 0.000
Be1 0.000 0.500 0.500
Be2 0.069 0.216 0.500
Be3 0.172 0.672 0.254
```

Peak list (10 most intense, 15° ≤ 2θ ≤ 90°, by angle)
2θ = 16.50°, d 5.374, I = 73; 2θ = 19.02°, d 4.666, I = 78; 2θ = 23.41°, d 3.800, I = 52; 2θ = 25.28°, d 3.523, I = 63; 2θ = 30.34°, d 2.946, I = 60; 2θ = 37.42°, d 2.403, I = 53; 2θ = 38.64°, d 2.330, I = 53; 2θ = 42.29°, d 2.137, I = 100; 2θ = 54.86°, d 1.674, I = 39; 2θ = 65.76°, d 1.420, I = 25



For UPaBe, the PBE geometry in Alexandria gives the simulated powder diffractogram in this record (Cu Ka).
Peak positions follow from Bragg's law for the DFT cell and can differ from measured ones.

Structural model:
```
data_UPaBe
_cell_length_a 2.841
_cell_length_b 2.841
_cell_length_c 13.519
_cell_angle_alpha 90.00
_cell_angle_beta 90.00
_cell_angle_gamma 90.00
_space_group_name_H-M_alt 'I 4 m m'
_space_group_IT_number 107
_space_group_name_Hall 'I 4 -2'
loop_
_atom_site_label
_atom_site_fract_x
_atom_site_fract_y
_atom_site_fract_z
U1 0.000 0.000 0.000
Pa1 0.000 0.000 0.301
Be1 0.000 0.000 0.648
```

Peak list (10 most intense, 15° ≤ 2θ ≤ 90°, by angle)
2θ = 26.37°, d 3.380, I = 40; 2θ = 32.20°, d 2.780, I = 51; 2θ = 37.42°, d 2.403, I = 100; 2θ = 40.02°, d 2.253, I = 16; 2θ = 45.13°, d 2.009, I = 33; 2θ = 53.03°, d 1.727, I = 25; 2θ = 57.72°, d 1.597, I = 27; 2θ = 61.88°, d 1.499, I = 18; 2θ = 65.74°, d 1.421, I = 11; 2θ = 78.16°, d 1.223, I = 25



For PaBeZn11, the PBE geometry in Alexandria gives the simulated powder diffractogram in this record (Cu Ka).
Peak positions follow from Bragg's law for the DFT cell and can differ from measured ones.

Structural model:
```
data_PaBeZn11
_cell_length_a 5.093
_cell_length_b 12.494
_cell_length_c 6.706
_cell_angle_alpha 90.00
_cell_angle_beta 111.88
_cell_angle_gamma 90.00
_space_group_name_H-M_alt 'C 1 2/m 1'
_space_group_IT_number 12
_space_group_name_Hall '-C 2y'
loop_
_atom_site_label
_atom_site_fract_x
_atom_site_fract_y
_atom_site_fract_z
Pa1 0.000 0.000 0.000
Be1 0.000 0.500 0.500
Zn1 0.000 0.000 0.500
Zn2 0.102 0.394 0.222
Zn3 0.189 0.173 0.358
Zn4 0.250 0.250 0.000
```

Peak list (10 most intense, 15° ≤ 2θ ≤ 90°, by angle)
2θ = 20.11°, d 4.415, I = 20; 2θ = 28.57°, d 3.124, I = 23; 2θ = 28.76°, d 3.105, I = 17; 2θ = 32.07°, d 2.791, I = 17; 2θ = 35.21°, d 2.549, I = 36; 2θ = 35.34°, d 2.540, I = 30; 2θ = 40.86°, d 2.209, I = 100; 2θ = 40.97°, d 2.203, I = 61; 2θ = 41.13°, d 2.195, I = 17; 2θ = 74.51°, d 1.273, I = 17